This entry pairs a crystal structure of PrNd2Tm4 with its theoretical X-ray powder pattern. Radiation: Cu Kα, 1.54184 Å. Structure: a cell relaxed with PBE.
Intensities are scaled so that the largest is 100.

Atomic structure:
```
data_PrNd2Tm4
_chemical_formula_sum 'Pr2 Nd4 Tm8'
_cell_length_a 7.1353
_cell_length_b 8.0144
_cell_length_c 8.7535
_cell_angle_alpha 111.45
_cell_angle_beta 90.44
_cell_angle_gamma 102.97
_space_group_name_H-M_alt 'P 1'
_space_group_IT_number 1
_space_group_name_Hall 'P 1'
loop_
_atom_site_label
_atom_site_type_symbol
_atom_site_fract_x
_atom_site_fract_y
_atom_site_fract_z
_atom_site_occupancy
Pr1 Pr 0.0000 0.0000 0.0000 1
Pr2 Pr 0.1438 0.5665 0.8552 1
Nd1 Nd 0.4309 0.7178 0.5705 1
Nd2 Nd 0.5678 0.2785 0.4265 1
Nd3 Nd 0.8543 0.4312 0.1425 1
Nd4 Nd 0.9280 0.7142 0.5695 1
Tm1 Tm 0.0711 0.2810 0.4266 1
Tm2 Tm 0.2152 0.8577 0.2849 1
Tm3 Tm 0.2871 0.1430 0.7148 1
Tm4 Tm 0.3579 0.4281 0.1426 1
Tm5 Tm 0.4991 0.9994 0.9995 1
Tm6 Tm 0.6406 0.5696 0.8573 1
Tm7 Tm 0.7124 0.8562 0.2836 1
Tm8 Tm 0.7846 0.1423 0.7134 1
```

Most intense lines, 10° ≤ 2θ ≤ 90°, by angle:
hkl  Position (°2θ)  I_rel
0 2 1  30.64  100
0 3 -2  35.42  34
2 0 2  35.75  17
2 2 -4  50.95  12
0 1 4  51.20  24
4 0 -3  60.64  29
4 1 1  61.08  14
0 2 -6  63.80  12
4 3 -5  83.09  6
0 0 7  83.48  12